Entry 1:
# Sc5Cd4Pt2
Computed PXRD pattern, Cu Kα X-rays. Input: a DFT-relaxed cell (GGA-PBE, Alexandria).
Lines closer than 0.1° are merged.

Most intense lines, 2θ = 15–90°, sorted by position:
2θ (°)	Rel. int.
23.08	482
25.17	378
26.69	697
27.61	337
35.57	1000
36.38	568
37.01	977
37.26	591
38.30	369
38.78	957

Atomic structure:
Lattice parameters (Å, degrees): 7.711 17.786 3.340 90.00 90.00 90.00
Fractional coordinates of all 22 atoms:
1 Sc 0.000 0.000 0.000
2 Sc 0.124 0.416 0.000
3 Sc 0.242 0.720 0.000
4 Sc 0.258 0.220 0.000
5 Sc 0.376 0.916 0.000
6 Sc 0.500 0.500 0.000
7 Sc 0.624 0.084 0.000
8 Sc 0.742 0.780 0.000
9 Sc 0.758 0.280 0.000
10 Sc 0.876 0.584 0.000
11 Cd 0.064 0.854 0.500
12 Cd 0.208 0.566 0.500
13 Cd 0.292 0.066 0.500
14 Cd 0.436 0.354 0.500
15 Cd 0.564 0.646 0.500
16 Cd 0.708 0.934 0.500
17 Cd 0.792 0.434 0.500
18 Cd 0.936 0.146 0.500
19 Pt 0.042 0.305 0.500
20 Pt 0.458 0.805 0.500
21 Pt 0.542 0.195 0.500
22 Pt 0.958 0.695 0.500

=====

Entry 2:
# Dy4Tm3Sc4
Computed PXRD pattern, Cu Kα X-rays. Input: a DFT-relaxed cell (GGA-PBE, Alexandria).
Lines closer than 0.1° are merged.

Most intense lines, 2θ = 15–90°, sorted by position:
2θ (°)	Rel. int.
18.18	252
32.12	463
32.87	1000
33.16	395
33.32	758
46.84	326
48.16	184
59.06	187
59.72	193
64.89	221

Atomic structure:
Lattice parameters (Å, degrees): 3.397 5.403 17.348 81.05 84.40 90.00
Fractional coordinates of all 11 atoms:
1 Dy 0.090 0.090 0.319
2 Dy 0.232 0.732 0.036
3 Dy 0.768 0.268 0.964
4 Dy 0.910 0.910 0.681
5 Tm 0.365 0.364 0.772
6 Tm 0.500 0.000 0.500
7 Tm 0.635 0.636 0.228
8 Sc 0.044 0.544 0.411
9 Sc 0.180 0.180 0.139
10 Sc 0.820 0.820 0.861
11 Sc 0.956 0.456 0.589

=====

Entry 3:
# Mg5Se4S
Computed PXRD pattern, Cu Kα X-rays. Input: a DFT-relaxed cell (GGA-PBE, Alexandria).
Lines closer than 0.1° are merged.

Most intense lines, 2θ = 15–90°, sorted by position:
2θ (°)	Rel. int.
28.34	428
32.84	1000
47.11	584
47.19	117
55.91	184
58.58	118
58.68	120
78.39	248
87.57	112
87.71	116

Atomic structure:
Lattice parameters (Å, degrees): 10.214 10.214 10.214 158.26 149.02 38.16
Fractional coordinates of all 10 atoms:
1 Mg 0.000 0.000 0.000
2 Mg 0.202 0.202 0.000
3 Mg 0.406 0.406 0.000
4 Mg 0.594 0.594 0.000
5 Mg 0.798 0.798 0.000
6 Se 0.099 0.599 0.500
7 Se 0.302 0.802 0.500
8 Se 0.698 0.198 0.500
9 Se 0.901 0.401 0.500
10 S 0.500 0.000 0.500

=====

Entry 4:
# TaTi3Te6
Computed PXRD pattern, Cu Kα X-rays. Input: a DFT-relaxed cell (GGA-PBE, Alexandria).
Lines closer than 0.1° are merged.

Most intense lines, 2θ = 15–90°, sorted by position:
2θ (°)	Rel. int.
15.03	269
21.73	367
26.86	1000
34.28	830
35.07	811
40.03	261
41.18	240
42.09	474
49.07	361
58.42	206

Atomic structure:
Lattice parameters (Å, degrees): 8.191 8.191 8.191 87.81 87.81 87.81
Fractional coordinates of all 20 atoms:
1 Ta 0.000 0.000 0.000
2 Ta 0.500 0.500 0.500
3 Ti 0.085 0.613 0.226
4 Ti 0.226 0.085 0.613
5 Ti 0.387 0.774 0.915
6 Ti 0.613 0.226 0.085
7 Ti 0.774 0.915 0.387
8 Ti 0.915 0.387 0.774
9 Te 0.069 0.678 0.890
10 Te 0.110 0.931 0.322
11 Te 0.176 0.409 0.537
12 Te 0.322 0.110 0.931
13 Te 0.409 0.537 0.176
14 Te 0.463 0.824 0.591
15 Te 0.537 0.176 0.409
16 Te 0.591 0.463 0.824
17 Te 0.678 0.890 0.069
18 Te 0.824 0.591 0.463
19 Te 0.890 0.069 0.678
20 Te 0.931 0.322 0.110